# 1
Computed powder diffraction line list
Compound: CaInP
Radiation: Cu Ka
Structure: the PBE geometry in Alexandria
Lines closer than 0.1° are merged.

Most intense lines, 15 to 90 degrees two-theta, sorted by position:
- 16.1 deg, I 21
- 25.3 deg, I 23
- 30.1 deg, I 100
- 41.6 deg, I 31
- 44.5 deg, I 27
- 54.7 deg, I 17

Cell: 4.0710 4.0710 5.5022 Å, 90.00 90.00 120.00°
Fractional coordinates of all 3 atoms:
Ca1 0.0000 0.0000 0.0000
In1 0.6667 0.3333 0.4638
P1 0.3333 0.6667 0.7111

# 2
Computed powder diffraction line list
Compound: Ca3InP2Pd9
Radiation: Cu Ka
Structure: the PBE geometry in Alexandria
Lines closer than 0.1° are merged.

Most intense lines, 15 to 90 degrees two-theta, sorted by position:
- 19.0 deg, I 50
- 34.9 deg, I 70
- 37.1 deg, I 26
- 38.6 deg, I 100
- 44.0 deg, I 29
- 60.1 deg, I 25

Cell: 6.1560 6.1560 9.6886 Å, 90.00 90.00 120.00°
Fractional coordinates of all 15 atoms:
Ca1 0.0000 0.0000 0.0000
Ca2 0.3333 0.6667 0.7114
Ca3 0.6667 0.3333 0.2886
In1 0.0000 0.0000 0.5000
P1 0.3333 0.6667 0.1576
P2 0.6667 0.3333 0.8424
Pd1 0.0000 0.5000 0.0000
Pd2 0.1500 0.2999 0.2738
Pd3 0.1500 0.8500 0.2738
Pd4 0.2999 0.1500 0.7262
Pd5 0.5000 0.0000 0.0000
Pd6 0.5000 0.5000 0.0000
Pd7 0.7001 0.8500 0.2738
Pd8 0.8500 0.1500 0.7262
Pd9 0.8500 0.7001 0.7262

# 3
Computed powder diffraction line list
Compound: CaIn2P2Pt7
Radiation: Cu Ka
Structure: the PBE geometry in Alexandria
Lines closer than 0.1° are merged.

Most intense lines, 15 to 90 degrees two-theta, sorted by position:
- 23.6 deg, I 50
- 32.7 deg, I 76
- 34.3 deg, I 34
- 36.8 deg, I 34
- 37.0 deg, I 100
- 46.1 deg, I 82

Cell: 3.9369 3.9369 15.2878 Å, 97.14 97.14 89.98°
Fractional coordinates of all 12 atoms:
Ca1 0.0000 0.0000 0.0000
In1 0.2098 0.2098 0.4255
In2 0.7902 0.7902 0.5745
P1 0.3864 0.3864 0.7655
P2 0.6136 0.6136 0.2345
Pt1 0.0723 0.5720 0.1494
Pt2 0.3089 0.3089 0.6137
Pt3 0.4280 0.9277 0.8506
Pt4 0.5000 0.5000 0.0000
Pt5 0.5720 0.0723 0.1494
Pt6 0.6911 0.6911 0.3863
Pt7 0.9277 0.4280 0.8506